BaCrF5: calculated X-ray diffraction stick pattern (a wavelength of 1.5418 Å), based on a PBE+U-relaxed structure.
Kinematic intensities with the Lorentz-polarization factor, no thermal factor.

Top 12 peaks for 10° ≤ 2θ ≤ 90°, in order of rising 2θ:
| index | 2θ/deg | intensity |
| --- | --- | --- |
| 1 1 0 | 23.08 | 42.6 |
| 1 1 1 | 23.94 | 100.0 |
| 0 1 3 | 24.30 | 33.0 |
| 0 0 4 | 25.16 | 23.4 |
| 1 1 3 | 29.94 | 19.2 |
| 1 0 4 | 30.64 | 32.8 |
| 0 2 1 | 31.46 | 26.3 |
| 1 1 5 | 39.49 | 20.0 |
| 1 2 3 | 40.45 | 51.3 |
| 2 1 3 | 42.93 | 20.5 |
| 2 0 4 | 43.45 | 19.3 |
| 0 1 7 | 47.62 | 21.0 |

Structural model:
Lattice parameters (Å, degrees): 5.1511 5.8052 14.1608 90.00 90.00 90.00
Sites, in units of the cell vectors:
Ba: 0.2369 0.1618 0.1568
Ba: 0.2631 0.8382 0.6568
Ba: 0.7369 0.3382 0.8432
Ba: 0.7631 0.6618 0.3432
Cr: 0.1846 0.1498 0.4139
Cr: 0.3154 0.8502 0.9139
Cr: 0.6846 0.3502 0.5861
Cr: 0.8154 0.6498 0.0861
F: 0.0227 0.8630 0.0061
F: 0.0413 0.8893 0.4796
F: 0.0958 0.6478 0.1762
F: 0.1392 0.0546 0.8283
F: 0.1849 0.5890 0.8440
F: 0.3151 0.4110 0.3440
F: 0.3608 0.9454 0.3283
F: 0.4042 0.3522 0.6762
F: 0.4587 0.1107 0.9796
F: 0.4773 0.1370 0.5061
F: 0.5227 0.6370 0.9939
F: 0.5413 0.6107 0.5204
F: 0.5958 0.8522 0.8238
F: 0.6392 0.4454 0.1717
F: 0.6849 0.9110 0.1560
F: 0.8151 0.0890 0.6560
F: 0.8608 0.5546 0.6717
F: 0.9042 0.1478 0.3238
F: 0.9587 0.3893 0.0204
F: 0.9773 0.3630 0.4939